The following is a theoretical XRD peak list of CdIO4. It was derived from DFT lattice parameters and positions (PBE), using λ = 1.5418 Å (Cu Kα).

The 10 most intense peaks (5° ≤ 2θ ≤ 70°), low angle first:
2theta	Rel. int.	(hkl)
19.69	34	1 0 1
23.54	100	1 1 1
30.16	56	3 0 1
30.38	59	2 2 0
32.58	47	1 2 1
32.87	17	3 1 1
44.03	17	1 3 1
48.15	49	2 2 2
49.40	16	4 0 2
52.26	34	5 2 1

Cell and atoms:
```
data_CdIO4
_chemical_formula_sum 'Cd4 I4 O16'
_symmetry_space_group_name_H-M 'P n m a'
_symmetry_Int_Tables_number 62
_symmetry_space_group_name_Hall '-P 2ac 2n'
_cell_length_a 11.124
_cell_length_b 6.934
_cell_length_c 4.931
_cell_angle_alpha 90.00
_cell_angle_beta 90.00
_cell_angle_gamma 90.00
loop_
_atom_site_label
_atom_site_fract_x
_atom_site_fract_y
_atom_site_fract_z
_atom_site_occupancy
Cd1 0.000 0.000 0.000 1
I1 0.214 0.250 0.485 1
O1 0.071 0.250 0.709 1
O2 0.117 0.750 0.855 1
O3 0.169 0.046 0.270 1
```